This entry pairs a crystal structure of Dy3AlN with its theoretical X-ray diffraction stick pattern. Radiation: Cu Kα (weighted mean of Kα1 and Kα2). Structure: a structure optimized by DFT (GGA-PBE).
Kinematic intensities with the Lorentz-polarization factor, no thermal factor.

a = 4.7739 Å, b = 4.7739 Å, c = 4.7739 Å
α = 90.00°, β = 90.00°, γ = 90.00°
Fractional coordinates of all 5 atoms:
Dy (0.0000, 0.0000, 0.5000)
Dy (0.0000, 0.5000, 0.0000)
Dy (0.5000, 0.0000, 0.0000)
Al (0.5000, 0.5000, 0.5000)
N (0.0000, 0.0000, 0.0000)

Main lines, in order of rising 2θ (10° ≤ 2θ ≤ 90°):
- 2θ 18.59, 4.774 Å, intensity 26
- 2θ 26.40, 3.376 Å, intensity 14
- 2θ 32.48, 2.756 Å, intensity 100
- 2θ 37.69, 2.387 Å, intensity 56
- 2θ 42.33, 2.135 Å, intensity 13
- 2θ 46.60, 1.949 Å, intensity 7
- 2θ 54.36, 1.688 Å, intensity 39
- 2θ 57.95, 1.591 Å, intensity 6
- 2θ 64.77, 1.439 Å, intensity 42
- 2θ 68.03, 1.378 Å, intensity 13
- 2θ 80.47, 1.193 Å, intensity 6
- 2θ 89.48, 1.095 Å, intensity 18

***

This entry pairs a crystal structure of DyAl2Ni with its theoretical X-ray diffraction stick pattern. Radiation: Cu Kα (weighted mean of Kα1 and Kα2). Structure: a structure optimized by DFT (GGA-PBE).
Kinematic intensities with the Lorentz-polarization factor, no thermal factor.

a = 5.4477 Å, b = 5.4477 Å, c = 6.8219 Å
α = 90.00°, β = 90.00°, γ = 136.53°
Fractional coordinates of all 8 atoms:
Dy (0.0624, 0.9376, 0.7500)
Dy (0.9376, 0.0624, 0.2500)
Al (0.3446, 0.6554, 0.5538)
Al (0.3446, 0.6554, 0.9462)
Al (0.6554, 0.3446, 0.0538)
Al (0.6554, 0.3446, 0.4462)
Ni (0.2144, 0.7856, 0.2500)
Ni (0.7856, 0.2144, 0.7500)

Main lines, in order of rising 2θ (10° ≤ 2θ ≤ 90°):
- 2θ 21.87, 4.064 Å, intensity 21
- 2θ 23.74, 3.748 Å, intensity 67
- 2θ 26.13, 3.411 Å, intensity 51
- 2θ 35.59, 2.523 Å, intensity 95
- 2θ 37.16, 2.420 Å, intensity 100
- 2θ 37.93, 2.372 Å, intensity 57
- 2θ 44.93, 2.017 Å, intensity 28
- 2θ 52.72, 1.736 Å, intensity 15
- 2θ 53.68, 1.707 Å, intensity 42
- 2θ 54.23, 1.691 Å, intensity 13
- 2θ 59.55, 1.552 Å, intensity 15
- 2θ 60.22, 1.537 Å, intensity 29

***

This entry pairs a crystal structure of DyAlNi with its theoretical X-ray diffraction stick pattern. Radiation: Cu Kα (weighted mean of Kα1 and Kα2). Structure: a structure optimized by DFT (GGA-PBE).
Kinematic intensities with the Lorentz-polarization factor, no thermal factor.

a = 6.9312 Å, b = 6.9312 Å, c = 3.9154 Å
α = 90.00°, β = 90.00°, γ = 120.00°
Fractional coordinates of all 9 atoms:
Dy (0.0000, 0.5829, 0.0000)
Dy (0.4171, 0.4171, 0.0000)
Dy (0.5829, 0.0000, 0.0000)
Al (0.0000, 0.2347, 0.5000)
Al (0.2347, 0.0000, 0.5000)
Al (0.7653, 0.7653, 0.5000)
Ni (0.0000, 0.0000, 0.0000)
Ni (0.3333, 0.6667, 0.5000)
Ni (0.6667, 0.3333, 0.5000)

Main lines, in order of rising 2θ (10° ≤ 2θ ≤ 90°):
- 2θ 22.71, 3.915 Å, intensity 29
- 2θ 25.71, 3.466 Å, intensity 37
- 2θ 29.77, 3.001 Å, intensity 36
- 2θ 34.56, 2.595 Å, intensity 99
- 2θ 37.77, 2.382 Å, intensity 100
- 2θ 39.73, 2.269 Å, intensity 32
- 2θ 46.25, 1.963 Å, intensity 18
- 2θ 46.38, 1.958 Å, intensity 23
- 2θ 55.17, 1.665 Å, intensity 26
- 2θ 60.42, 1.532 Å, intensity 37
- 2θ 72.80, 1.299 Å, intensity 18
- 2θ 74.87, 1.268 Å, intensity 21

***

This entry pairs a crystal structure of DyAl4Ni with its theoretical X-ray diffraction stick pattern. Radiation: Cu Kα (weighted mean of Kα1 and Kα2). Structure: a structure optimized by DFT (GGA-PBE).
Kinematic intensities with the Lorentz-polarization factor, no thermal factor.

a = 7.9707 Å, b = 7.9707 Å, c = 6.6145 Å
α = 90.00°, β = 90.00°, γ = 150.50°
Fractional coordinates of all 12 atoms:
Dy (0.1174, 0.8826, 0.7500)
Dy (0.8826, 0.1174, 0.2500)
Al (0.0763, 0.9237, 0.2500)
Al (0.3115, 0.6885, 0.5527)
Al (0.3115, 0.6885, 0.9473)
Al (0.5000, 0.5000, 0.0000)
Al (0.5000, 0.5000, 0.5000)
Al (0.6885, 0.3115, 0.0527)
Al (0.6885, 0.3115, 0.4473)
Al (0.9237, 0.0763, 0.7500)
Ni (0.2264, 0.7736, 0.2500)
Ni (0.7736, 0.2264, 0.7500)

Main lines, in order of rising 2θ (10° ≤ 2θ ≤ 90°):
- 2θ 17.67, 5.020 Å, intensity 78
- 2θ 22.66, 3.925 Å, intensity 44
- 2θ 26.96, 3.307 Å, intensity 45
- 2θ 31.17, 2.870 Å, intensity 87
- 2θ 35.49, 2.529 Å, intensity 100
- 2θ 36.60, 2.455 Å, intensity 44
- 2θ 37.55, 2.395 Å, intensity 57
- 2θ 39.14, 2.302 Å, intensity 49
- 2θ 39.27, 2.294 Å, intensity 35
- 2θ 44.66, 2.029 Å, intensity 57
- 2θ 50.33, 1.813 Å, intensity 31
- 2θ 59.73, 1.548 Å, intensity 29

***

This entry pairs a crystal structure of DyAlNi with its theoretical X-ray diffraction stick pattern. Radiation: Cu Kα (weighted mean of Kα1 and Kα2). Structure: a structure optimized by DFT (GGA-PBE).
Kinematic intensities with the Lorentz-polarization factor, no thermal factor.

a = 8.4587 Å, b = 5.3151 Å, c = 5.3151 Å
α = 60.63°, β = 90.00°, γ = 90.00°
Fractional coordinates of all 12 atoms:
Dy (0.1745, 0.0000, 0.0000)
Dy (0.2952, 0.6626, 0.6626)
Dy (0.7048, 0.6626, 0.6626)
Dy (0.8255, 0.0000, 0.0000)
Al (0.2384, 0.3255, 0.3255)
Al (0.5000, 0.1618, 0.6709)
Al (0.5000, 0.6709, 0.1618)
Al (0.7616, 0.3255, 0.3255)
Ni (0.0000, 0.4968, 0.4968)
Ni (0.0000, 0.4978, 0.9938)
Ni (0.0000, 0.9938, 0.4978)
Ni (0.5000, 0.1610, 0.1610)

Main lines, in order of rising 2θ (10° ≤ 2θ ≤ 90°):
- 2θ 10.46, 8.459 Å, intensity 18
- 2θ 19.16, 4.632 Å, intensity 20
- 2θ 19.34, 4.588 Å, intensity 18
- 2θ 28.58, 3.123 Å, intensity 24
- 2θ 33.40, 2.683 Å, intensity 28
- 2θ 33.73, 2.657 Å, intensity 41
- 2θ 37.36, 2.407 Å, intensity 100
- 2θ 39.79, 2.265 Å, intensity 26
- 2θ 40.07, 2.250 Å, intensity 67
- 2θ 40.38, 2.234 Å, intensity 36
- 2θ 40.75, 2.214 Å, intensity 18
- 2θ 68.71, 1.366 Å, intensity 17

***

This entry pairs a crystal structure of DyAlNi with its theoretical X-ray diffraction stick pattern. Radiation: Cu Kα (weighted mean of Kα1 and Kα2). Structure: a structure optimized by DFT (GGA-PBE).
Kinematic intensities with the Lorentz-polarization factor, no thermal factor.

a = 8.6252 Å, b = 5.2819 Å, c = 5.2819 Å
α = 61.45°, β = 90.00°, γ = 90.00°
Fractional coordinates of all 12 atoms:
Dy (0.1823, 0.0000, 0.0000)
Dy (0.2903, 0.3298, 0.3298)
Dy (0.7097, 0.3298, 0.3298)
Dy (0.8177, 0.0000, 0.0000)
Al (0.0000, 0.5305, 0.5305)
Al (0.5000, 0.3354, 0.8313)
Al (0.5000, 0.8313, 0.3354)
Al (0.5000, 0.8334, 0.8334)
Ni (0.0000, 0.0099, 0.5203)
Ni (0.0000, 0.5203, 0.0099)
Ni (0.2614, 0.6635, 0.6635)
Ni (0.7386, 0.6635, 0.6635)

Main lines, in order of rising 2θ (10° ≤ 2θ ≤ 90°):
- 2θ 10.26, 8.625 Å, intensity 19
- 2θ 20.60, 4.313 Å, intensity 43
- 2θ 21.75, 4.086 Å, intensity 22
- 2θ 33.20, 2.699 Å, intensity 38
- 2θ 33.96, 2.640 Å, intensity 91
- 2θ 36.78, 2.444 Å, intensity 71
- 2θ 37.01, 2.429 Å, intensity 48
- 2θ 39.39, 2.288 Å, intensity 66
- 2θ 40.04, 2.252 Å, intensity 100
- 2θ 40.26, 2.240 Å, intensity 36
- 2θ 63.95, 1.456 Å, intensity 24
- 2θ 67.68, 1.384 Å, intensity 24

***

This entry pairs a crystal structure of DyAl3Ni2 with its theoretical X-ray diffraction stick pattern. Radiation: Cu Kα (weighted mean of Kα1 and Kα2). Structure: a structure optimized by DFT (GGA-PBE).
Kinematic intensities with the Lorentz-polarization factor, no thermal factor.

a = 9.0215 Å, b = 9.0215 Å, c = 4.0496 Å
α = 90.00°, β = 90.00°, γ = 120.00°
Fractional coordinates of all 18 atoms:
Dy (0.0000, 0.0000, 0.0000)
Dy (0.3333, 0.6667, 0.5000)
Dy (0.6667, 0.3333, 0.5000)
Al (0.0000, 0.2975, 0.5000)
Al (0.0000, 0.5000, 0.0000)
Al (0.0000, 0.7025, 0.5000)
Al (0.2975, 0.0000, 0.5000)
Al (0.2975, 0.2975, 0.5000)
Al (0.5000, 0.0000, 0.0000)
Al (0.5000, 0.5000, 0.0000)
Al (0.7025, 0.0000, 0.5000)
Al (0.7025, 0.7025, 0.5000)
Ni (0.1813, 0.3626, 0.0000)
Ni (0.1813, 0.8187, 0.0000)
Ni (0.3626, 0.1813, 0.0000)
Ni (0.6374, 0.8187, 0.0000)
Ni (0.8187, 0.1813, 0.0000)
Ni (0.8187, 0.6374, 0.0000)

Main lines, in order of rising 2θ (10° ≤ 2θ ≤ 90°):
- 2θ 19.68, 4.511 Å, intensity 38
- 2θ 24.76, 3.595 Å, intensity 62
- 2θ 29.65, 3.013 Å, intensity 25
- 2θ 31.83, 2.812 Å, intensity 23
- 2θ 34.44, 2.604 Å, intensity 31
- 2θ 37.70, 2.386 Å, intensity 100
- 2θ 39.97, 2.255 Å, intensity 73
- 2θ 41.21, 2.190 Å, intensity 40
- 2θ 44.76, 2.025 Å, intensity 30
- 2θ 61.55, 1.507 Å, intensity 40
- 2θ 63.85, 1.458 Å, intensity 19
- 2θ 89.48, 1.095 Å, intensity 17

***

This entry pairs a crystal structure of Dy2AlNi2 with its theoretical X-ray diffraction stick pattern. Radiation: Cu Kα (weighted mean of Kα1 and Kα2). Structure: a structure optimized by DFT (GGA-PBE).
Kinematic intensities with the Lorentz-polarization factor, no thermal factor.

a = 5.4196 Å, b = 5.4196 Å, c = 5.4196 Å
α = 135.89°, β = 119.22°, γ = 78.11°
Fractional coordinates of all 5 atoms:
Dy (0.2053, 0.2053, 0.0000)
Dy (0.7947, 0.7947, 0.0000)
Al (0.5000, 0.0000, 0.5000)
Ni (0.2232, 0.5000, 0.7232)
Ni (0.7768, 0.5000, 0.2768)

Main lines, in order of rising 2θ (10° ≤ 2θ ≤ 90°):
- 2θ 19.32, 4.595 Å, intensity 14
- 2θ 27.29, 3.268 Å, intensity 67
- 2θ 32.66, 2.742 Å, intensity 14
- 2θ 34.75, 2.581 Å, intensity 100
- 2θ 35.95, 2.498 Å, intensity 27
- 2θ 38.99, 2.310 Å, intensity 42
- 2θ 39.22, 2.297 Å, intensity 47
- 2θ 41.12, 2.195 Å, intensity 35
- 2θ 44.52, 2.035 Å, intensity 28
- 2θ 55.07, 1.667 Å, intensity 17
- 2θ 60.80, 1.523 Å, intensity 26
- 2θ 69.47, 1.353 Å, intensity 27

***

This entry pairs a crystal structure of Dy3Al2Ni6 with its theoretical X-ray diffraction stick pattern. Radiation: Cu Kα (weighted mean of Kα1 and Kα2). Structure: a structure optimized by DFT (GGA-PBE).
Kinematic intensities with the Lorentz-polarization factor, no thermal factor.

a = 7.7109 Å, b = 7.7109 Å, c = 7.7109 Å
α = 109.47°, β = 109.47°, γ = 109.47°
Fractional coordinates of all 22 atoms:
Dy (0.0000, 0.2925, 0.2925)
Dy (0.0000, 0.7075, 0.7075)
Dy (0.2925, 0.0000, 0.2925)
Dy (0.2925, 0.2925, 0.0000)
Dy (0.7075, 0.0000, 0.7075)
Dy (0.7075, 0.7075, 0.0000)
Al (0.0000, 0.0000, 0.5000)
Al (0.0000, 0.5000, 0.0000)
Al (0.5000, 0.0000, 0.0000)
Al (0.5000, 0.5000, 0.5000)
Ni (0.0000, 0.3350, 0.6650)
Ni (0.0000, 0.6650, 0.3350)
Ni (0.3301, 0.6650, 0.6650)
Ni (0.3350, 0.0000, 0.6650)
Ni (0.3350, 0.3350, 0.6699)
Ni (0.3350, 0.6650, 0.0000)
Ni (0.3350, 0.6699, 0.3350)
Ni (0.6650, 0.0000, 0.3350)
Ni (0.6650, 0.3301, 0.6650)
Ni (0.6650, 0.3350, 0.0000)
Ni (0.6650, 0.6650, 0.3301)
Ni (0.6699, 0.3350, 0.3350)

Main lines, in order of rising 2θ (10° ≤ 2θ ≤ 90°):
- 2θ 24.49, 3.635 Å, intensity 22
- 2θ 28.35, 3.148 Å, intensity 12
- 2θ 31.78, 2.816 Å, intensity 39
- 2θ 34.91, 2.570 Å, intensity 27
- 2θ 37.81, 2.380 Å, intensity 24
- 2θ 40.53, 2.226 Å, intensity 19
- 2θ 43.10, 2.099 Å, intensity 100
- 2θ 56.62, 1.626 Å, intensity 18
- 2θ 60.64, 1.527 Å, intensity 12
- 2θ 64.52, 1.444 Å, intensity 17
- 2θ 70.11, 1.342 Å, intensity 13
- 2θ 79.03, 1.212 Å, intensity 27

***

Which formula does entry 9 have?
Dy3Al2Ni6